Diffraction record for SrCa2CrN4. The PXRD pattern is calculated, not measured: it uses a cell relaxed with PBE and copper Kα.
Intensities are scaled so that the largest is 100.

Atomic structure:
```
16
Lattice="7.585 0.000 0.000 0.000 6.418 0.000 0.000 0.000 5.510" Properties=species:S:1:pos:R:3 pbc="T T T"
Sr 0.000 0.865 0.000
Sr 3.793 5.553 2.755
Ca 1.838 2.119 2.800
Ca 1.954 4.300 0.045
Ca 5.631 4.300 0.045
Ca 5.747 2.119 2.800
Cr 0.000 5.210 2.967
Cr 3.793 1.208 0.212
N 0.000 0.561 2.679
N 0.000 5.029 4.692
N 1.485 4.430 2.392
N 2.308 1.988 5.147
N 3.793 1.390 1.937
N 3.793 5.858 5.434
N 5.278 1.988 5.147
N 6.100 4.430 2.392
```

The 10 most intense peaks (2θ = 10–90°), low angle first:
2θ (°)  I_rel
27.3  62
27.8  22
31.9  100
32.3  52
32.5  58
43.0  29
48.9  30
57.6  23
59.0  20
59.9  25


Diffraction record for KRb2CdH5. The PXRD pattern is calculated, not measured: it uses a cell relaxed with PBE and copper Kα.
Intensities are scaled so that the largest is 100.

Atomic structure:
```
18
Lattice="-3.943 3.943 6.013 3.943 -3.943 6.013 3.943 3.943 -6.013" Properties=species:S:1:pos:R:3 pbc="T T T"
K 0.000 0.000 3.007
K 0.000 0.000 9.020
Rb 5.370 1.427 0.000
Rb 1.427 2.517 0.000
Rb 2.517 1.427 6.013
Rb -1.427 2.517 6.013
Cd 3.943 0.000 3.007
Cd 0.000 3.943 3.007
H 0.000 0.000 0.000
H 4.986 -1.043 1.909
H 2.900 -1.043 4.104
H 2.900 1.043 1.909
H 4.986 1.043 4.104
H 0.000 0.000 6.013
H -1.043 2.900 1.909
H 1.043 2.900 4.104
H 1.043 4.986 1.909
H -1.043 4.986 4.104
```

The 10 most intense peaks (2θ = 10–90°), low angle first:
2θ (°)  I_rel
15.9  27
26.3  41
27.0  100
29.7  29
32.1  24
33.9  32
39.1  22
44.3  19
48.2  14
51.1  16


Diffraction record for Sr5Au3. The PXRD pattern is calculated, not measured: it uses a cell relaxed with PBE and copper Kα.
Intensities are scaled so that the largest is 100.

Atomic structure:
```
16
Lattice="-4.153 4.153 7.873 4.153 -4.153 7.873 4.153 4.153 -7.873" Properties=species:S:1:pos:R:3 pbc="T T T"
Sr 0.000 0.000 0.000
Sr 5.568 1.415 -2.250
Sr 1.415 2.739 -2.250
Sr 5.568 1.415 2.250
Sr 1.415 2.739 2.250
Sr 0.000 0.000 7.873
Sr 2.739 1.415 5.624
Sr -1.415 2.739 5.624
Sr 2.739 1.415 10.123
Sr -1.415 2.739 10.123
Au 3.101 1.052 0.000
Au 0.000 0.000 3.937
Au 3.101 -1.052 7.873
Au 1.052 5.206 0.000
Au 0.000 0.000 11.810
Au 1.052 3.101 7.873
```

The 10 most intense peaks (2θ = 10–90°), low angle first:
2θ (°)  I_rel
11.2  18
18.8  43
29.5  100
31.3  32
34.1  63
37.5  35
41.3  17
49.0  17
56.5  15
58.6  19


Diffraction record for Li13In2. The PXRD pattern is calculated, not measured: it uses a cell relaxed with PBE and copper Kα.
Intensities are scaled so that the largest is 100.

Atomic structure:
```
15
Lattice="3.837 2.216 6.030 -3.837 2.216 6.030 0.000 -4.431 6.030" Properties=species:S:1:pos:R:3 pbc="T T T"
Li 0.000 0.000 0.000
Li 0.000 -1.736 4.919
Li -1.503 0.868 4.919
Li 0.000 -1.679 7.885
Li -1.454 0.839 7.885
Li -1.454 -0.839 10.204
Li -1.503 -0.868 13.169
Li 1.503 0.868 4.919
Li 1.454 0.839 7.885
Li 1.454 -0.839 10.204
Li 0.000 1.679 10.204
Li 1.503 -0.868 13.169
Li 0.000 1.736 13.169
In 0.000 0.000 2.669
In 0.000 0.000 15.420
```

The 10 most intense peaks (2θ = 10–90°), low angle first:
2θ (°)  I_rel
14.2  97
14.7  72
23.2  87
23.8  52
27.6  100
36.1  33
37.3  32
38.0  33
41.1  31
43.5  29


Diffraction record for Nd2Dy2ErTm2. The PXRD pattern is calculated, not measured: it uses a cell relaxed with PBE and copper Kα.
Intensities are scaled so that the largest is 100.

Atomic structure:
```
14
Lattice="11.669 0.000 0.000 0.000 3.506 0.000 -3.905 0.000 11.124" Properties=species:S:1:pos:R:3 pbc="T T T"
Nd 1.657 0.000 0.946
Nd 0.273 1.753 10.177
Nd 7.491 1.753 0.946
Nd 6.107 0.000 10.177
Dy -2.412 0.000 8.538
Dy 4.342 1.753 2.586
Dy 3.422 1.753 8.538
Dy 10.176 0.000 2.586
Er -1.952 1.753 5.562
Er 3.882 0.000 5.562
Tm 1.219 1.753 4.064
Tm 0.711 0.000 7.060
Tm 7.053 0.000 4.064
Tm 6.545 1.753 7.060
```

The 10 most intense peaks (2θ = 10–90°), low angle first:
2θ (°)  I_rel
28.7  34
30.8  100
32.6  71
33.3  35
35.4  49
38.1  20
51.9  24
54.1  17
61.4  15
61.8  42


Diffraction record for ErTeSe. The PXRD pattern is calculated, not measured: it uses a cell relaxed with PBE and copper Kα.
Intensities are scaled so that the largest is 100.

Atomic structure:
```
12
Lattice="4.176 0.000 0.000 0.000 5.748 0.000 0.000 0.000 13.795" Properties=species:S:1:pos:R:3 pbc="T T T"
Er 0.000 0.000 2.132
Er 0.000 0.000 11.663
Er 2.088 2.874 4.766
Er 2.088 2.874 9.029
Te 0.000 1.426 6.897
Te 0.000 4.322 6.897
Te 2.088 1.448 0.000
Te 2.088 4.300 0.000
Se 0.000 2.874 2.924
Se 0.000 2.874 10.871
Se 2.088 0.000 3.974
Se 2.088 0.000 9.821
```

The 10 most intense peaks (2θ = 10–90°), low angle first:
2θ (°)  I_rel
16.7  17
24.8  15
28.9  100
33.8  38
37.3  25
38.6  45
43.3  20
50.8  18
56.1  17
72.5  14


Diffraction record for CdAg2Hg. The PXRD pattern is calculated, not measured: it uses a cell relaxed with PBE and copper Kα.
Intensities are scaled so that the largest is 100.

Atomic structure:
```
12
Lattice="6.238 0.000 0.000 -3.119 5.402 0.000 0.000 0.000 7.550" Properties=species:S:1:pos:R:3 pbc="T T T"
Cd -1.985 3.438 1.258
Cd 1.134 1.965 3.775
Cd 3.969 0.000 6.292
Ag -0.618 2.937 6.121
Ag -0.266 4.469 3.604
Ag 0.884 3.398 1.087
Ag 2.853 0.933 1.429
Ag 2.501 2.465 6.462
Ag 4.003 2.004 3.946
Hg -2.717 4.707 5.033
Hg 0.402 0.695 0.000
Hg 5.435 0.000 2.517
```

The 10 most intense peaks (2θ = 10–90°), low angle first:
2θ (°)  I_rel
28.6  18
28.9  27
35.3  100
37.4  45
39.5  54
41.1  29
46.0  41
71.1  18
71.6  12
74.6  11


Diffraction record for LiAuO3. The PXRD pattern is calculated, not measured: it uses a cell relaxed with PBE and copper Kα.
Intensities are scaled so that the largest is 100.

Atomic structure:
```
10
Lattice="1.969 -3.889 0.000 1.969 3.889 0.000 0.000 0.000 8.850" Properties=species:S:1:pos:R:3 pbc="T T T"
Li 0.000 0.000 0.000
Li 0.000 0.000 4.425
Au 1.969 0.707 6.637
Au 1.969 -0.707 2.212
O 1.969 3.711 2.212
O 1.969 0.729 4.603
O 1.969 0.729 8.671
O 1.969 -0.729 0.179
O 1.969 -0.729 4.246
O 1.969 -3.711 6.637
```

The 10 most intense peaks (2θ = 10–90°), low angle first:
2θ (°)  I_rel
20.1  71
25.0  100
25.4  81
27.3  51
32.5  47
38.3  28
43.0  51
48.6  27
52.4  25
53.2  26